(1)
Computed powder X-ray diffraction pattern
Compound: K2PmGaCl6
Radiation: Cu Kα (λ = 1.5418 Å)
Structure: a DFT-relaxed cell (PBE, Alexandria)
Intensities are scaled so that the largest is 100.

Structure:
abc: 7.9492 7.9492 7.9492
angles: 57.75 57.75 57.75
Atoms (fractional coordinates):
1 K 0.0000 0.0000 0.0000
2 K 0.4925 0.4925 0.4925
3 Pm 0.7049 0.7049 0.7049
4 Ga 0.2134 0.2134 0.2134
5 Cl 0.0458 0.4513 0.8333
6 Cl 0.3586 0.9163 0.5792
7 Cl 0.4513 0.8333 0.0458
8 Cl 0.5792 0.3586 0.9163
9 Cl 0.8333 0.0458 0.4513
10 Cl 0.9163 0.5792 0.3586

The 10 most intense peaks (2θ from 10° to 80°), by angle:
d_spacing, intensity
6.303, 29
5.519, 100
3.970, 66
3.839, 47
3.318, 49
2.760, 63
2.502, 71
2.241, 40
2.216, 45
1.458, 17



(2)
Computed powder X-ray diffraction pattern
Compound: GeH6CBr3N3
Radiation: Cu Kα (λ = 1.5418 Å)
Structure: a DFT-relaxed cell (PBE, Alexandria)
Intensities are scaled so that the largest is 100.

Structure:
abc: 9.0272 7.4005 17.9942
angles: 90.00 119.49 90.00
Atoms (fractional coordinates):
1 Ge 0.0241 0.0588 0.2564
2 Ge 0.0241 0.4412 0.7564
3 Ge 0.9759 0.5588 0.2436
4 Ge 0.9759 0.9412 0.7436
5 H 0.0891 0.7416 0.4748
6 H 0.0891 0.7584 0.9748
7 H 0.0919 0.7313 0.5719
8 H 0.0919 0.7687 0.0719
9 H 0.3495 0.7229 0.9730
10 H 0.3495 0.7771 0.4730
11 H 0.3554 0.6939 0.7003
12 H 0.3554 0.8061 0.2003
13 H 0.4550 0.2250 0.8008
14 H 0.4550 0.2750 0.3008
15 H 0.4584 0.2461 0.9334
16 H 0.4584 0.2539 0.4334
17 H 0.5416 0.7461 0.5666
18 H 0.5416 0.7539 0.0666
19 H 0.5450 0.7250 0.6992
20 H 0.5450 0.7750 0.1992
21 H 0.6446 0.1939 0.7997
22 H 0.6446 0.3061 0.2997
23 H 0.6505 0.2229 0.5270
24 H 0.6505 0.2771 0.0270
25 H 0.9081 0.2313 0.9281
26 H 0.9081 0.2687 0.4281
27 H 0.9109 0.2416 0.0252
28 H 0.9109 0.2584 0.5252
29 C 0.3287 0.7333 0.5808
30 C 0.3287 0.7667 0.0808
31 C 0.6713 0.2333 0.9192
32 C 0.6713 0.2667 0.4192
33 Br 0.1461 0.2394 0.6790
34 Br 0.1461 0.2606 0.1790
35 Br 0.1484 0.2337 0.8931
36 Br 0.1484 0.2663 0.3931
37 Br 0.2861 0.6621 0.8206
38 Br 0.2861 0.8379 0.3206
39 Br 0.7139 0.1621 0.6794
40 Br 0.7139 0.3379 0.1794
41 Br 0.8516 0.7337 0.6069
42 Br 0.8516 0.7663 0.1069
43 Br 0.8539 0.7394 0.8210
44 Br 0.8539 0.7606 0.3210
45 N 0.1585 0.7344 0.5397
46 N 0.1585 0.7656 0.0397
47 N 0.4119 0.7501 0.0368
48 N 0.4119 0.7499 0.5368
49 N 0.4158 0.7139 0.6657
50 N 0.4158 0.7861 0.1657
51 N 0.5842 0.2139 0.8343
52 N 0.5842 0.2861 0.3343
53 N 0.5881 0.2501 0.4632
54 N 0.5881 0.2499 0.9632
55 N 0.8415 0.2344 0.9603
56 N 0.8415 0.2656 0.4603

The 10 most intense peaks (2θ from 10° to 80°), by angle:
d_spacing, intensity
7.844, 100
7.785, 51
3.700, 24
3.466, 80
3.445, 37
2.858, 11
2.816, 11
2.757, 12
2.738, 17
2.691, 17



(3)
Computed powder X-ray diffraction pattern
Compound: BaSrCo2H
Radiation: Cu Kα (λ = 1.5418 Å)
Structure: a DFT-relaxed cell (PBE, Alexandria)
Intensities are scaled so that the largest is 100.

Structure:
abc: 4.7186 4.7186 4.7395
angles: 90.00 90.00 90.00
Atoms (fractional coordinates):
1 Ba 0.0000 0.0000 0.0000
2 Sr 0.5000 0.5000 0.0000
3 Co 0.0000 0.5000 0.5000
4 Co 0.5000 0.0000 0.5000
5 H 0.0000 0.0000 0.5000

The 10 most intense peaks (2θ from 10° to 80°), by angle:
d_spacing, intensity
4.733, 10
3.339, 9
2.728, 100
2.370, 17
2.359, 33
1.672, 22
1.668, 11
1.428, 13
1.423, 26
1.364, 11